Structure and calculated XRD peak list of Li5Co3O3 (a PBE+U-relaxed structure; Cu Kα, 1.54184 Å).

Peak list (10 most intense, 10 to 90 degrees two-theta, in order of rising 2θ)
- (1 0 0), 2θ 17.08, intensity 16
- (0 0 1), 2θ 23.37, intensity 17
- (1 1 0), 2θ 29.80, intensity 100
- (2 0 0), 2θ 34.55, intensity 13
- (1 1 1), 2θ 38.21, intensity 41
- (2 0 1), 2θ 42.13, intensity 12
- (2 1 0), 2θ 46.26, intensity 14
- (0 0 2), 2θ 47.78, intensity 14
- (3 0 0), 2θ 52.90, intensity 14
- (1 1 2), 2θ 57.34, intensity 26

Structural model:
```
data_Li5Co3O3
_chemical_formula_sum 'Li5 Co3 O3'
_cell_length_a 5.9955
_cell_length_b 5.9955
_cell_length_c 3.8069
_cell_angle_alpha 90.00
_cell_angle_beta 90.00
_cell_angle_gamma 120.00
_space_group_name_H-M_alt 'P -6 2 m'
_space_group_IT_number 189
_space_group_name_Hall 'P -6 -2'
loop_
_atom_site_label
_atom_site_type_symbol
_atom_site_fract_x
_atom_site_fract_y
_atom_site_fract_z
_atom_site_occupancy
Li1 Li 0.0000 0.7412 0.0000 1
Li2 Li 0.3333 0.6667 0.0000 1
Co1 Co 0.0000 0.3896 0.5000 1
O1 O 0.0000 0.3670 0.0000 1
```